Entry 1:
Starting from a DFT-relaxed cell (PBE, the Materials Project), the X-ray powder pattern of LiZnGe was simulated for Cu Ka.

Structure:
Cell lengths 4.2864, 4.2864, 9.4196 Å; angles 90.00, 90.00, 120.00 degrees
Space group P-6m2 (No. 187)
Asymmetric unit:
Li 0.0000 0.0000 0.0000 x1
Li 0.0000 0.0000 0.3366 x2
Zn 0.3333 0.6667 0.5000 x1
Zn 0.6667 0.3333 0.2063 x2
Ge 0.3333 0.6667 0.1365 x2
Ge 0.6667 0.3333 0.5000 x1

Largest 8 diffraction maxima, in order of rising 2θ, 2θ from 10° to 80°:
2θ (°)  d_spacing  I_rel
24.0  3.712  91
28.4  3.140  62
30.7  2.915  16
37.5  2.397  57
42.2  2.143  100
45.6  1.989  27
51.6  1.770  69
75.0  1.266  20

Entry 2:
Starting from a DFT-relaxed cell (PBE, the Materials Project), the X-ray powder pattern of Na2Ca4ZrNbSi4O17F was simulated for Cu Ka.

Structure:
Cell lengths 7.378, 10.401, 10.964 Å; angles 90.00, 108.92, 90.00 degrees
Space group P2_1 (No. 4)
Asymmetric unit:
Na 0.053 0.000 0.368 x2
Na 0.188 0.151 0.122 x2
Ca 0.052 0.380 0.347 x2
Ca 0.200 0.766 0.155 x2
Ca 0.299 0.265 0.855 x2
Ca 0.444 0.494 0.633 x2
Zr 0.447 0.874 0.658 x2
Nb 0.304 0.636 0.866 x2
Si 0.064 0.695 0.439 x2
Si 0.135 0.448 0.073 x2
Si 0.303 0.957 0.920 x2
Si 0.375 0.196 0.567 x2
O 0.018 0.723 0.286 x2
O 0.064 0.703 0.778 x2
O 0.078 0.982 0.915 x2
O 0.113 0.324 0.981 x2
O 0.138 0.206 0.523 x2
O 0.150 0.553 0.488 x2
O 0.182 0.818 0.526 x2
O 0.202 0.581 0.020 x2
O 0.271 0.418 0.222 x2
O 0.275 0.476 0.786 x2
O 0.291 0.957 0.768 x2
O 0.379 0.819 0.991 x2
O 0.410 0.301 0.464 x2
O 0.417 0.084 0.994 x2
O 0.428 0.049 0.541 x2
O 0.456 0.700 0.756 x2
O 0.476 0.254 0.710 x2
F 0.247 0.971 0.241 x2

Largest 8 diffraction maxima, in order of rising 2θ, 2θ from 10° to 80°:
2θ (°)  d_spacing  I_rel
12.1  7.345  20
21.4  4.159  20
27.1  3.288  41
29.5  3.024  62
29.9  2.988  58
31.0  2.881  100
44.6  2.032  19
49.4  1.844  26

Entry 3:
Starting from a DFT-relaxed cell (PBE, the Materials Project), the X-ray powder pattern of MgCd was simulated for Cu Ka.

Structure:
Cell lengths 11.708, 3.198, 7.314 Å; angles 90.00, 104.65, 90.00 degrees
Space group Cm (No. 8)
Asymmetric unit:
Mg 0.000 0.000 0.000 x2
Mg 0.053 0.000 0.605 x2
Mg 0.330 0.000 0.662 x2
Cd 0.164 0.500 0.332 x2
Cd 0.219 0.500 0.936 x2
Cd 0.388 0.000 0.276 x2

Largest 8 diffraction maxima, in order of rising 2θ, 2θ from 10° to 80°:
2θ (°)  d_spacing  I_rel
12.5  7.076  85
29.0  3.078  40
32.5  2.754  51
35.2  2.547  75
36.8  2.440  100
37.1  2.426  49
37.4  2.405  99
38.2  2.359  44

Entry 4:
Starting from a DFT-relaxed cell (PBE, the Materials Project), the X-ray powder pattern of CdGe3 was simulated for Cu Ka.

Structure:
Cell lengths 4.229, 4.229, 9.313 Å; angles 90.00, 90.00, 90.00 degrees
Space group I4/mmm (No. 139)
Asymmetric unit:
Cd 0.000 0.000 0.000 x2
Ge 0.000 0.000 0.500 x2
Ge 0.000 0.500 0.250 x4

Largest 8 diffraction maxima, in order of rising 2θ, 2θ from 10° to 80°:
2θ (°)  d_spacing  I_rel
35.7  2.516  100
38.7  2.328  20
42.8  2.115  30
59.0  1.565  22
62.1  1.495  10
68.1  1.378  14
73.7  1.285  23
75.6  1.258  11

Entry 5:
Starting from a DFT-relaxed cell (PBE, the Materials Project), the X-ray powder pattern of TbSb was simulated for Cu Ka.

Structure:
Cell lengths 6.229, 6.229, 6.229 Å; angles 90.00, 90.00, 90.00 degrees
Space group Fm-3m (No. 225)
Asymmetric unit:
Tb 0.000 0.000 0.000 x4
Sb 0.000 0.000 0.500 x4

Largest 8 diffraction maxima, in order of rising 2θ, 2θ from 10° to 80°:
2θ (°)  d_spacing  I_rel
24.8  3.596  3
28.7  3.115  100
41.0  2.202  76
48.5  1.878  2
50.8  1.798  27
59.3  1.557  13
67.2  1.393  35
74.6  1.272  26

Entry 6:
Starting from a DFT-relaxed cell (PBE, the Materials Project), the X-ray powder pattern of Zr6Al2Co was simulated for Cu Ka.

Structure:
Cell lengths 7.9591, 7.9591, 3.3311 Å; angles 90.00, 90.00, 120.00 degrees
Space group P-62m (No. 189)
Asymmetric unit:
Zr 0.0000 0.2502 0.0000 x3
Zr 0.0000 0.5985 0.5000 x3
Al 0.3333 0.6667 0.0000 x2
Co 0.0000 0.0000 0.5000 x1

Largest 8 diffraction maxima, in order of rising 2θ, 2θ from 10° to 80°:
2θ (°)  d_spacing  I_rel
34.4  2.605  73
35.1  2.554  100
37.6  2.395  64
39.2  2.298  32
44.1  2.052  21
55.4  1.658  20
65.3  1.429  31
66.6  1.403  20

Entry 7:
Starting from a DFT-relaxed cell (PBE, the Materials Project), the X-ray powder pattern of Sc2C3 was simulated for Cu Ka.

Structure:
Cell lengths 7.703, 7.703, 7.703 Å; angles 90.00, 90.00, 90.00 degrees
Space group I-43d (No. 220)
Asymmetric unit:
Sc 0.050 0.450 0.550 x16
C 0.000 0.250 0.788 x24

Largest 8 diffraction maxima, in order of rising 2θ, 2θ from 10° to 80°:
2θ (°)  d_spacing  I_rel
28.4  3.145  14
32.9  2.723  68
36.9  2.436  100
44.0  2.059  58
47.2  1.926  14
56.0  1.642  24
61.4  1.511  48
66.5  1.406  13

Question: Which formula does entry 1 have?
Answer: LiZnGe

Repeat the fourth record exactly.
Starting from a DFT-relaxed cell (PBE, the Materials Project), the X-ray powder pattern of CdGe3 was simulated for Cu Ka.

Structure:
Cell lengths 4.229, 4.229, 9.313 Å; angles 90.00, 90.00, 90.00 degrees
Space group I4/mmm (No. 139)
Asymmetric unit:
Cd 0.000 0.000 0.000 x2
Ge 0.000 0.000 0.500 x2
Ge 0.000 0.500 0.250 x4

Largest 8 diffraction maxima, in order of rising 2θ, 2θ from 10° to 80°:
2θ (°)  d_spacing  I_rel
35.7  2.516  100
38.7  2.328  20
42.8  2.115  30
59.0  1.565  22
62.1  1.495  10
68.1  1.378  14
73.7  1.285  23
75.6  1.258  11